1.
For Ho2VGa2Ru5, a PBE-relaxed structure gives the calculated X-ray powder pattern in this record (Cu Kα (λ = 1.5418 Å)).

Principal peaks in the range 15° ≤ 2θ ≤ 90°, in order of rising 2θ:
two_theta, I (rel.)
33.87, 26
36.97, 57
38.08, 36
39.54, 100
42.63, 27
69.09, 19

Atomic structure:
```
Ho2VGa2Ru5
1.0
10.0253 0.0000 0.0000
0.0000 10.0253 0.0000
0.0000 0.0000 3.2793
Ho V Ga Ru
4 2 4 10
Direct
0.1700 0.3300 0.0000
0.3300 0.8300 0.0000
0.6700 0.1700 0.0000
0.8300 0.6700 0.0000
0.0000 0.0000 0.0000
0.5000 0.5000 0.0000
0.1303 0.6303 0.0000
0.3697 0.1303 0.0000
0.6303 0.8697 0.0000
0.8697 0.3697 0.0000
0.0000 0.5000 0.5000
0.0633 0.8085 0.5000
0.1915 0.0633 0.5000
0.3085 0.5633 0.5000
0.4367 0.3085 0.5000
0.5000 0.0000 0.5000
0.5633 0.6915 0.5000
0.6915 0.4367 0.5000
0.8085 0.9367 0.5000
0.9367 0.1915 0.5000
```

2.
For LiEr2MgIn4, a PBE-relaxed structure gives the calculated X-ray powder pattern in this record (Cu Kα (λ = 1.5418 Å)).

Principal peaks in the range 15° ≤ 2θ ≤ 90°, in order of rising 2θ:
two_theta, I (rel.)
21.14, 31
34.86, 100
41.13, 17
50.13, 17
62.48, 27
62.63, 8

Atomic structure:
```
LiEr2MgIn4
1.0
2.5758 1.4871 8.3883
-2.5758 1.4871 8.3883
0.0000 -2.9742 8.3883
Li Er Mg In
1 2 1 4
Direct
0.0000 0.0000 0.0000
0.2477 0.2477 0.2477
0.7523 0.7523 0.7523
0.5000 0.5000 0.5000
0.1220 0.1220 0.1220
0.3723 0.3723 0.3723
0.6277 0.6277 0.6277
0.8780 0.8780 0.8780
```

3.
For GaCo2Bi2, a PBE-relaxed structure gives the calculated X-ray powder pattern in this record (Cu Kα (λ = 1.5418 Å)).

Principal peaks in the range 15° ≤ 2θ ≤ 90°, in order of rising 2θ:
two_theta, I (rel.)
29.60, 25
34.15, 30
36.73, 100
42.36, 24
43.28, 19
75.06, 20

Atomic structure:
```
GaCo2Bi2
1.0
6.7474 0.0000 0.0000
0.0000 6.7474 0.0000
0.0000 0.0000 4.1814
Ga Co Bi
2 4 4
Direct
0.0000 0.0000 0.0000
0.5000 0.5000 0.0000
0.1342 0.3658 0.0000
0.3658 0.8658 0.0000
0.6342 0.1342 0.0000
0.8658 0.6342 0.0000
0.1701 0.6701 0.5000
0.3299 0.1701 0.5000
0.6701 0.8299 0.5000
0.8299 0.3299 0.5000
```

4.
For Cs3SrCd, a PBE-relaxed structure gives the calculated X-ray powder pattern in this record (Cu Kα (λ = 1.5418 Å)).

Principal peaks in the range 15° ≤ 2θ ≤ 90°, in order of rising 2θ:
two_theta, I (rel.)
20.52, 71
23.73, 100
33.81, 80
39.88, 38
41.73, 29
54.75, 39

Atomic structure:
```
Cs3SrCd
1.0
7.4979 0.0000 0.0000
0.0000 7.4979 0.0000
0.0000 0.0000 7.4979
Cs Sr Cd
3 1 1
Direct
0.0000 0.0000 0.5000
0.0000 0.5000 0.0000
0.5000 0.0000 0.0000
0.5000 0.5000 0.5000
0.0000 0.0000 0.0000
```

5.
For HoNi8B4, a PBE-relaxed structure gives the calculated X-ray powder pattern in this record (Cu Kα (λ = 1.5418 Å)).

Principal peaks in the range 15° ≤ 2θ ≤ 90°, in order of rising 2θ:
two_theta, I (rel.)
23.40, 42
33.12, 34
40.43, 50
40.95, 54
47.69, 100
47.84, 32

Atomic structure:
```
HoNi8B4
1.0
-3.8024 3.8024 2.2313
3.8024 -3.8024 2.2313
3.8024 3.8024 -2.2313
Ho Ni B
1 8 4
Direct
0.0000 0.0000 0.0000
0.0000 0.3416 0.3416
0.0000 0.6584 0.6584
0.2732 0.5000 0.7732
0.3416 0.0000 0.3416
0.5000 0.2732 0.7732
0.5000 0.7268 0.2268
0.6584 0.0000 0.6584
0.7268 0.5000 0.2268
0.0000 0.0000 0.5000
0.0000 0.5000 0.0000
0.5000 0.0000 0.0000
0.5000 0.5000 0.5000
```

6.
For KY4S6, a PBE-relaxed structure gives the calculated X-ray powder pattern in this record (Cu Kα (λ = 1.5418 Å)).

Principal peaks in the range 15° ≤ 2θ ≤ 90°, in order of rising 2θ:
two_theta, I (rel.)
25.22, 100
30.68, 60
31.59, 92
33.05, 76
44.75, 63
45.83, 69

Atomic structure:
```
KY4S6
1.0
1.9793 -6.5978 0.0000
1.9793 6.5978 0.0000
0.0000 0.0000 20.9055
K Y S
2 8 12
Direct
0.1515 0.8485 0.7500
0.8485 0.1515 0.2500
0.0999 0.9001 0.1343
0.0999 0.9001 0.3657
0.3686 0.6314 0.0418
0.3686 0.6314 0.4582
0.6314 0.3686 0.5418
0.6314 0.3686 0.9582
0.9001 0.0999 0.6343
0.9001 0.0999 0.8657
0.0000 0.0000 0.0000
0.0000 0.0000 0.5000
0.1670 0.8330 0.2500
0.2721 0.7279 0.5789
0.2721 0.7279 0.9211
0.4650 0.5350 0.1527
0.4650 0.5350 0.3473
0.5350 0.4650 0.6527
0.5350 0.4650 0.8473
0.7279 0.2721 0.0789
0.7279 0.2721 0.4211
0.8330 0.1670 0.7500
```

7.
For AlH, a PBE-relaxed structure gives the calculated X-ray powder pattern in this record (Cu Kα (λ = 1.5418 Å)).

Principal peaks in the range 15° ≤ 2θ ≤ 90°, in order of rising 2θ:
two_theta, I (rel.)
25.41, 78
37.54, 100
45.88, 92
66.04, 35
67.74, 16
73.62, 23

Atomic structure:
```
AlH
1.0
2.7665 0.0000 0.0000
-1.3832 2.3958 0.0000
0.0000 0.0000 3.5055
Al H
1 1
Direct
0.0000 0.0000 0.0000
0.0000 0.0000 0.5000
```

8.
For HoPaB12, a PBE-relaxed structure gives the calculated X-ray powder pattern in this record (Cu Kα (λ = 1.5418 Å)).

Principal peaks in the range 15° ≤ 2θ ≤ 90°, in order of rising 2θ:
two_theta, I (rel.)
21.79, 77
31.00, 100
38.21, 42
44.41, 21
49.99, 52
55.15, 31

Atomic structure:
```
HoPaB12
1.0
4.0767 0.0000 0.0000
0.0000 4.0767 0.0000
0.0000 0.0000 8.1705
Ho Pa B
1 1 12
Direct
0.0000 0.0000 0.0000
0.0000 0.0000 0.5000
0.1975 0.5000 0.2501
0.1975 0.5000 0.7499
0.5000 0.1975 0.2501
0.5000 0.1975 0.7499
0.5000 0.5000 0.0990
0.5000 0.5000 0.4015
0.5000 0.5000 0.5985
0.5000 0.5000 0.9010
0.5000 0.8025 0.2501
0.5000 0.8025 0.7499
0.8025 0.5000 0.2501
0.8025 0.5000 0.7499
```